(1)
Theoretical XRD peak list
Compound: AlPd5Pt2
Radiation: CuKα
Structure: a cell relaxed with PBE
Peak positions follow from Bragg's law for the DFT cell and can differ from measured ones.

Peak list (10 most intense, 15 to 90 degrees two-theta, sorted by position)
- hkl 1 2 0, 22.55°, intensity 6
- hkl 0 0 1, 22.76°, intensity 7
- hkl 2 0 1, 39.71°, intensity 100
- hkl 2 4 0, 46.04°, intensity 33
- hkl 0 0 2, 46.48°, intensity 16
- hkl 4 0 0, 67.15°, intensity 10
- hkl 2 4 2, 67.49°, intensity 21
- hkl 4 4 1, 80.94°, intensity 24
- hkl 2 0 3, 81.58°, intensity 12
- hkl 4 0 2, 85.59°, intensity 11

Cell and atoms:
Lattice parameters (Å, degrees): 5.5743 11.1554 3.9076 90.00 90.00 90.00
Space group Pbam (No. 55)
Inequivalent atoms, fractional coordinates:
Al1 0.0000 0.0000 0.0000 x2
Pd1 0.0000 0.5000 0.0000 x2
Pd2 0.0011 0.2437 0.0000 x4
Pd3 0.2503 0.1240 0.5000 x4
Pt1 0.2440 0.8786 0.5000 x4

=====

(2)
Theoretical XRD peak list
Compound: YFeRh
Radiation: CuKα
Structure: a cell relaxed with PBE
Peak positions follow from Bragg's law for the DFT cell and can differ from measured ones.

Peak list (10 most intense, 15 to 90 degrees two-theta, sorted by position)
- hkl 1 1 2, 34.08°, intensity 40
- hkl 2 0 0, 35.85°, intensity 20
- hkl 1 2 1, 38.86°, intensity 100
- hkl 0 1 3, 39.85°, intensity 26
- hkl 0 2 2, 40.42°, intensity 39
- hkl 1 0 3, 40.67°, intensity 40
- hkl 2 1 1, 41.33°, intensity 42
- hkl 2 0 2, 43.60°, intensity 35
- hkl 3 2 1, 66.44°, intensity 20
- hkl 2 2 4, 71.77°, intensity 34

Cell and atoms:
Lattice parameters (Å, degrees): 5.0095 5.5859 7.4219 90.00 90.00 90.00
Space group Imma (No. 74)
Inequivalent atoms, fractional coordinates:
Y1 0.0000 0.2500 0.1204 x4
Fe1 0.2500 0.2500 0.7500 x4
Rh1 0.0000 0.0000 0.5000 x4

=====

(3)
Theoretical XRD peak list
Compound: Pu2MgF11
Radiation: CuKα
Structure: a cell relaxed with PBE
Peak positions follow from Bragg's law for the DFT cell and can differ from measured ones.

Peak list (10 most intense, 15 to 90 degrees two-theta, sorted by position)
- hkl 2 0 0, 17.33°, intensity 89
- hkl 2 0 -2, 18.50°, intensity 53
- hkl 1 1 -2, 22.16°, intensity 22
- hkl 0 2 1, 23.48°, intensity 76
- hkl 2 2 -1, 24.10°, intensity 100
- hkl 0 0 2, 24.27°, intensity 34
- hkl 4 0 -2, 26.59°, intensity 31
- hkl 2 2 1, 33.82°, intensity 22
- hkl 4 0 0, 35.11°, intensity 39
- hkl 6 2 -3, 45.44°, intensity 22

Cell and atoms:
Lattice parameters (Å, degrees): 13.4397 8.8472 9.6311 90.00 130.39 90.00
Space group C2/c (No. 15)
Inequivalent atoms, fractional coordinates:
Pu1 0.2412 0.1282 0.1982 x8
Mg1 0.0000 0.3402 0.2500 x4
F1 0.0717 0.0745 0.9508 x8
F2 0.0900 0.3380 0.5230 x8
F3 0.1235 0.4939 0.8117 x8
F4 0.1261 0.1952 0.2736 x8
F5 0.2356 0.1015 0.7676 x8
F6 0.2500 0.2500 0.0000 x4

=====

(4)
Theoretical XRD peak list
Compound: CaTlBiBr6
Radiation: CuKα
Structure: a cell relaxed with PBE
Peak positions follow from Bragg's law for the DFT cell and can differ from measured ones.

Peak list (10 most intense, 15 to 90 degrees two-theta, sorted by position)
- hkl 1 0 2, 18.31°, intensity 100
- hkl 1 1 2, 26.71°, intensity 62
- hkl 2 0 2, 30.09°, intensity 26
- hkl 1 1 4, 34.35°, intensity 91
- hkl 2 1 2, 38.65°, intensity 35
- hkl 3 0 0, 41.64°, intensity 47
- hkl 4 -1 2, 52.23°, intensity 19
- hkl 4 -2 4, 55.04°, intensity 21
- hkl 3 0 8, 67.23°, intensity 23
- hkl 4 1 4, 71.31°, intensity 19

Cell and atoms:
Lattice parameters (Å, degrees): 7.5147 7.5147 14.5227 90.00 90.00 120.00
Space group P-31c (No. 163)
Inequivalent atoms, fractional coordinates:
Ca1 0.3333 0.6667 0.2500 x2
Tl1 0.0000 0.0000 0.0000 x2
Bi1 0.3333 0.6667 0.7500 x2
Br1 0.0029 0.3678 0.6357 x12

=====

(5)
Theoretical XRD peak list
Compound: KHgTe2
Radiation: CuKα
Structure: a cell relaxed with PBE
Peak positions follow from Bragg's law for the DFT cell and can differ from measured ones.

Peak list (10 most intense, 15 to 90 degrees two-theta, sorted by position)
- hkl 1 0 -2, 17.02°, intensity 51
- hkl 1 1 0, 17.79°, intensity 38
- hkl 1 1 2, 25.65°, intensity 47
- hkl 2 0 -2, 26.32°, intensity 100
- hkl 1 2 1, 29.76°, intensity 48
- hkl 2 1 -3, 32.16°, intensity 67
- hkl 2 0 2, 33.72°, intensity 65
- hkl 1 2 -4, 38.84°, intensity 41
- hkl 1 3 1, 40.90°, intensity 50
- hkl 3 3 -1, 54.18°, intensity 43

Cell and atoms:
Lattice parameters (Å, degrees): 7.1191 7.2753 12.1838 90.00 105.84 90.00
Space group P2/c (No. 13)
Inequivalent atoms, fractional coordinates:
K1 0.1626 0.2495 0.1231 x4
Hg1 0.3811 0.0928 0.8624 x4
Te1 0.1227 0.2626 0.6739 x4
Te2 0.3770 0.2743 0.4403 x4

=====

(6)
Theoretical XRD peak list
Compound: V9Ga2Sn
Radiation: CuKα
Structure: a cell relaxed with PBE
Peak positions follow from Bragg's law for the DFT cell and can differ from measured ones.

Peak list (10 most intense, 15 to 90 degrees two-theta, sorted by position)
- hkl 1 0 3, 26.01°, intensity 18
- hkl 0 2 0, 37.07°, intensity 31
- hkl 2 0 0, 37.18°, intensity 16
- hkl 0 2 3, 41.65°, intensity 45
- hkl 2 1 0, 41.73°, intensity 23
- hkl 1 2 3, 45.87°, intensity 100
- hkl 2 3 0, 69.95°, intensity 8
- hkl 3 0 6, 70.09°, intensity 5
- hkl 1 3 6, 73.01°, intensity 22
- hkl 3 2 3, 73.12°, intensity 25

Cell and atoms:
Lattice parameters (Å, degrees): 4.8370 4.8542 14.5360 90.00 90.00 90.00
Space group Pmmm (No. 47)
Inequivalent atoms, fractional coordinates:
V1 0.0000 0.0000 0.0806 x2
V2 0.0000 0.0000 0.2404 x2
V3 0.0000 0.0000 0.4177 x2
V4 0.2348 0.5000 0.3324 x4
V5 0.2617 0.5000 0.0000 x2
V6 0.5000 0.2545 0.5000 x2
V7 0.5000 0.2571 0.1585 x4
Ga1 0.0000 0.5000 0.1653 x2
Ga2 0.0000 0.5000 0.5000 x1
Ga3 0.5000 0.0000 0.0000 x1
Sn1 0.5000 0.0000 0.3295 x2

=====

(7)
Theoretical XRD peak list
Compound: Li2TmIr3
Radiation: CuKα
Structure: a cell relaxed with PBE
Peak positions follow from Bragg's law for the DFT cell and can differ from measured ones.

Peak list (10 most intense, 15 to 90 degrees two-theta, sorted by position)
- hkl 2 0 0, 22.04°, intensity 62
- hkl 2 1 1, 29.61°, intensity 100
- hkl 2 2 0, 29.74°, intensity 48
- hkl 0 2 2, 39.65°, intensity 95
- hkl 0 4 0, 40.04°, intensity 51
- hkl 2 3 1, 41.22°, intensity 45
- hkl 4 0 0, 44.95°, intensity 33
- hkl 2 2 2, 45.82°, intensity 47
- hkl 4 2 2, 61.47°, intensity 46
- hkl 4 4 0, 61.75°, intensity 25

Cell and atoms:
Lattice parameters (Å, degrees): 8.0671 9.0065 5.2658 90.00 90.00 90.00
Space group Imma (No. 74)
Inequivalent atoms, fractional coordinates:
Li1 0.0000 0.0841 0.2027 x8
Tm1 0.0000 0.2500 0.6995 x4
Ir1 0.2300 0.0000 0.5000 x8
Ir2 0.2500 0.2500 0.2500 x4

=====

(8)
Theoretical XRD peak list
Compound: Rb2NaSbO4
Radiation: CuKα
Structure: a cell relaxed with PBE
Peak positions follow from Bragg's law for the DFT cell and can differ from measured ones.

Peak list (10 most intense, 15 to 90 degrees two-theta, sorted by position)
- hkl 1 0 1, 17.61°, intensity 20
- hkl 1 1 0, 19.77°, intensity 15
- hkl 2 0 0, 28.10°, intensity 42
- hkl 1 1 2, 29.37°, intensity 100
- hkl 2 2 0, 40.16°, intensity 22
- hkl 1 3 2, 50.53°, intensity 42
- hkl 2 0 4, 52.87°, intensity 22
- hkl 2 2 4, 60.94°, intensity 11
- hkl 4 2 0, 65.75°, intensity 10
- hkl 5 1 2, 80.55°, intensity 10

Cell and atoms:
Lattice parameters (Å, degrees): 6.3512 6.3512 8.2629 90.00 90.00 90.00
Space group I-4 (No. 82)
Inequivalent atoms, fractional coordinates:
Rb1 0.0000 0.0000 0.0000 x2
Rb2 0.0000 0.5000 0.2500 x2
Na1 0.0000 0.0000 0.5000 x2
Sb1 0.0000 0.5000 0.7500 x2
O1 0.1446 0.2929 0.6232 x8

=====

(9)
Theoretical XRD peak list
Compound: YZnCo2H6
Radiation: CuKα
Structure: a cell relaxed with PBE
Peak positions follow from Bragg's law for the DFT cell and can differ from measured ones.

Peak list (10 most intense, 15 to 90 degrees two-theta, sorted by position)
- hkl 0 0 3, 17.63°, intensity 15
- hkl 1 0 4, 33.92°, intensity 100
- hkl 0 0 6, 35.70°, intensity 15
- hkl 0 1 5, 38.48°, intensity 28
- hkl 1 1 0, 42.27°, intensity 88
- hkl 0 2 4, 55.26°, intensity 23
- hkl 1 1 6, 56.49°, intensity 26
- hkl 1 0 10, 66.97°, intensity 19
- hkl 2 1 4, 71.95°, intensity 20
- hkl 3 0 0, 77.29°, intensity 13

Cell and atoms:
Lattice parameters (Å, degrees): 4.2764 4.2764 15.0890 90.00 90.00 120.00
Space group R-3m (No. 166, hexagonal axes)
Inequivalent atoms, fractional coordinates:
Y1 0.0000 0.0000 0.0000 x3
Zn1 0.0000 0.0000 0.5000 x3
Co1 0.0000 0.0000 0.2071 x6
H1 0.0126 0.5063 0.9371 x18

=====

(10)
Theoretical XRD peak list
Compound: Pm5PrSm2Er
Radiation: CuKα
Structure: a cell relaxed with PBE
Peak positions follow from Bragg's law for the DFT cell and can differ from measured ones.

Peak list (10 most intense, 15 to 90 degrees two-theta, sorted by position)
- hkl 2 2 0, 28.23°, intensity 96
- hkl 2 0 4, 30.48°, intensity 100
- hkl 3 1 2, 33.76°, intensity 12
- hkl 3 2 1, 36.73°, intensity 17
- hkl 4 0 2, 42.10°, intensity 21
- hkl 0 0 8, 46.70°, intensity 12
- hkl 4 2 4, 51.42°, intensity 21
- hkl 2 2 8, 55.50°, intensity 20
- hkl 4 4 4, 63.62°, intensity 13
- hkl 4 4 8, 77.96°, intensity 12

Cell and atoms:
Lattice parameters (Å, degrees): 8.9327 8.9327 15.5621 90.00 90.00 90.00
Space group I4/mcm (No. 140)
Inequivalent atoms, fractional coordinates:
Pm1 0.0000 0.0000 0.0000 x4
Pm2 0.2081 0.2919 0.1370 x16
Pr1 0.0000 0.0000 0.2500 x4
Sm1 0.1156 0.3844 0.5000 x8
Er1 0.0000 0.5000 0.2500 x4

=====

(11)
Theoretical XRD peak list
Compound: Tm8Ir2Pd
Radiation: CuKα
Structure: a cell relaxed with PBE
Peak positions follow from Bragg's law for the DFT cell and can differ from measured ones.

Peak list (10 most intense, 15 to 90 degrees two-theta, sorted by position)
- hkl 0 0 1, 16.33°, intensity 33
- hkl 1 3 1, 31.10°, intensity 72
- hkl 2 0 1, 31.28°, intensity 45
- hkl 1 1 -2, 32.39°, intensity 41
- hkl 0 4 1, 33.21°, intensity 80
- hkl 3 1 -1, 33.40°, intensity 78
- hkl 0 2 2, 36.11°, intensity 44
- hkl 2 4 0, 36.51°, intensity 51
- hkl 2 2 -2, 37.04°, intensity 38
- hkl 1 5 -1, 40.05°, intensity 100

Cell and atoms:
Lattice parameters (Å, degrees): 8.4253 12.4357 5.6757 90.00 107.00 90.00
Space group Cm (No. 8)
Inequivalent atoms, fractional coordinates:
Tm1 0.0000 0.0000 0.0000 x2
Tm2 0.0681 0.3697 0.7855 x4
Tm3 0.1608 0.1303 0.5937 x4
Tm4 0.2357 0.5000 0.3749 x2
Tm5 0.3663 0.2264 0.1862 x4
Ir1 0.3641 0.3113 0.6868 x4
Pd1 0.3662 0.0000 0.0667 x2

=====

(12)
Theoretical XRD peak list
Compound: KGa
Radiation: CuKα
Structure: a cell relaxed with PBE
Peak positions follow from Bragg's law for the DFT cell and can differ from measured ones.

Peak list (10 most intense, 15 to 90 degrees two-theta, sorted by position)
- hkl 1 1 1, 17.13°, intensity 70
- hkl 2 0 2, 29.59°, intensity 67
- hkl 1 3 1, 30.50°, intensity 100
- hkl 1 1 5, 31.20°, intensity 45
- hkl 2 2 0, 32.94°, intensity 20
- hkl 0 2 6, 36.62°, intensity 45
- hkl 1 1 7, 40.96°, intensity 33
- hkl 3 3 1, 50.64°, intensity 22
- hkl 2 2 8, 55.09°, intensity 28
- hkl 2 4 6, 56.78°, intensity 23

Cell and atoms:
Lattice parameters (Å, degrees): 6.4660 10.0565 16.8682 90.00 90.00 90.00
Space group Fddd (No. 70, origin choice 2)
Inequivalent atoms, fractional coordinates:
K1 0.1250 0.2928 0.1250 x16
Ga1 0.1250 0.1250 0.5492 x16